# Cs7CaAu5O2
Theoretical X-ray diffraction stick pattern, Cu Ka. Input: the PBE geometry in Alexandria.
Kinematic intensities with the Lorentz-polarization factor, no thermal factor.

Cell and atoms:
```
data_Cs7CaAu5O2
_cell_length_a 17.3974
_cell_length_b 12.1949
_cell_length_c 6.2400
_cell_angle_alpha 90.00
_cell_angle_beta 108.52
_cell_angle_gamma 90.00
_space_group_name_H-M_alt 'C 1 m 1'
_space_group_IT_number 8
loop_
_space_group_symop_operation_xyz
'x,y,z'
'x,-y,z'
'x+1/2,y+1/2,z'
'x+1/2,-y+1/2,z'
loop_
_atom_site_label
_atom_site_type_symbol
_atom_site_fract_x
_atom_site_fract_y
_atom_site_fract_z
Cs1 Cs 0.0000 0.0000 0.0000
Cs2 Cs 0.0930 0.3333 0.8926
Cs3 Cs 0.2042 0.1674 0.5327
Cs4 Cs 0.4125 0.1910 0.2478
Ca1 Ca 0.2558 0.5000 0.5118
Au1 Au 0.0842 0.5000 0.3762
Au2 Au 0.2121 0.0000 0.0437
Au3 Au 0.2843 0.5000 0.0189
Au4 Au 0.4003 0.0000 0.7293
Au5 Au 0.4147 0.5000 0.4319
O1 O 0.0920 0.3334 0.3830
```

Largest 10 diffraction maxima, by angle, 2θ = 10–90°:
Position (°2θ)	I_rel
14.5	46
22.5	23
25.7	52
26.5	55
28.1	100
28.6	97
29.9	38
36.9	20
41.4	24
44.6	22